The following is a computed powder XRD pattern of CeHC3O6. It was derived from a cell relaxed with GGA-PBE, using Cu Kα (weighted mean of Kα1 and Kα2).

Most intense lines, 15° ≤ 2θ ≤ 90°, low angle first:
2θ (°)	d (Å)	I_rel	index
15.3	5.774	100	0 1 1
16.3	5.453	83	0 0 2
19.4	4.571	82	1 1 1
25.2	3.538	24	2 0 1
28.4	3.139	33	2 1 1
28.8	3.098	27	1 2 0
32.8	2.727	29	0 0 4
33.3	2.694	75	1 2 2
36.9	2.434	28	2 1 3
44.3	2.047	30	1 2 4

Structural model:
```
data_CeHC3O6
_symmetry_space_group_name_H-M 'P n a 21'
_symmetry_Int_Tables_number 33
_cell_length_a 7.4806
_cell_length_b 6.8067
_cell_length_c 10.9062
_cell_angle_alpha 90.00
_cell_angle_beta 90.00
_cell_angle_gamma 90.00
loop_
_symmetry_equiv_pos_as_xyz
'x,y,z'
'-x,-y,z+1/2'
'-x+1/2,y+1/2,z+1/2'
'x+1/2,-y+1/2,z'
loop_
_atom_site_label
_atom_site_fract_x
_atom_site_fract_y
_atom_site_fract_z
Ce1 0.2047 0.1299 0.0000
H1 0.2290 0.1185 0.4962
C1 0.0872 0.9523 0.2717
C2 0.0902 0.9543 0.7284
C3 0.1242 0.6268 0.9970
O1 0.0387 0.4630 0.9990
O2 0.0516 0.7939 0.9959
O3 0.0804 0.8585 0.3734
O4 0.0811 0.8536 0.6295
O5 0.2234 0.9741 0.2057
O6 0.2287 0.9847 0.7910
```